The following is a theoretical powder XRD pattern of RbCrCdO4. It was derived from DFT lattice parameters and positions (GGA+U), using Cu Kα X-rays.

```
data_RbCrCdO4
_chemical_formula_sum 'Rb2 Cr2 Cd2 O8'
_cell_length_a 5.7801
_cell_length_b 6.2291
_cell_length_c 7.5437
_cell_angle_alpha 90.00
_cell_angle_beta 103.95
_cell_angle_gamma 90.00
_symmetry_space_group_name_H-M 'P 1 21/m 1'
_symmetry_Int_Tables_number 11
loop_
_symmetry_equiv_pos_as_xyz
'x,y,z'
'-x,-y,-z'
'-x,y+1/2,-z'
'x,-y+1/2,z'
loop_
_atom_site_label
_atom_site_type_symbol
_atom_site_fract_x
_atom_site_fract_y
_atom_site_fract_z
_atom_site_occupancy
Rb1 Rb 0.2407 0.2500 0.4493 1
Cr1 Cr 0.2386 0.7500 0.1834 1
Cd1 Cd 0.3553 0.2500 0.9948 1
O1 O 0.0241 0.7500 0.9851 1
O2 O 0.1570 0.7500 0.3812 1
O3 O 0.4476 0.5374 0.1839 1
```

The 10 most intense peaks (5 to 70 degrees two-theta), in order of rising 2θ:
12.09 deg, d = 7.321 Å, rel. 62, hkl 0 0 1
21.32 deg, d = 4.168 Å, rel. 63, hkl 1 1 0
22.17 deg, d = 4.010 Å, rel. 84, hkl 1 0 1
24.32 deg, d = 3.661 Å, rel. 45, hkl 0 0 2
28.66 deg, d = 3.115 Å, rel. 100, hkl 0 2 0
29.45 deg, d = 3.033 Å, rel. 87, hkl 1 1 -2
34.51 deg, d = 2.599 Å, rel. 35, hkl 2 1 -1
35.42 deg, d = 2.535 Å, rel. 74, hkl 1 1 2
37.93 deg, d = 2.372 Å, rel. 47, hkl 0 2 2
38.24 deg, d = 2.353 Å, rel. 50, hkl 2 1 -2